Starting from a cell relaxed with PBE, the XRD peak list of ReBi was simulated for Cu Kα (weighted mean of Kα1 and Kα2).

Main lines, in order of rising 2θ (10° ≤ 2θ ≤ 80°):
(hkl)	2θ (°)	d/Å	I_rel
0 0 1	10.66	8.296	100
1 1 1	28.22	3.162	82
0 0 3	32.37	2.765	43
1 1 2	33.97	2.639	65
0 2 0	39.30	2.292	52
2 1 1	41.76	2.163	48
1 1 3	42.02	2.150	45
0 2 3	51.80	1.765	24

Structure:
Cell lengths 5.135, 4.585, 8.296 Å; angles 90.00, 90.00, 90.00 degrees
Atoms (fractional coordinates):
Re 0.000 0.000 0.000
Re 0.250 0.500 0.063
Re 0.500 0.000 0.000
Re 0.750 0.500 0.937
Bi 0.250 0.000 0.321
Bi 0.250 0.500 0.724
Bi 0.750 0.000 0.679
Bi 0.750 0.500 0.276

Starting from a cell relaxed with PBE, the XRD peak list of Y2AgAuSe4 was simulated for Cu Kα (weighted mean of Kα1 and Kα2).

Main lines, in order of rising 2θ (10° ≤ 2θ ≤ 80°):
(hkl)	2θ (°)	d/Å	I_rel
1 0 1	24.90	3.577	100
1 0 2	26.77	3.330	38
1 0 5	37.55	2.396	19
1 0 6	42.22	2.140	32
1 1 0	42.65	2.120	43
1 0 7	47.26	1.923	25
2 0 1	50.02	1.824	15
2 1 1	67.78	1.382	12

Structure:
Cell lengths 4.240, 4.240, 15.805 Å; angles 90.00, 90.00, 120.00 degrees
Atoms (fractional coordinates):
Y 0.000 0.000 0.248
Y 0.000 0.000 0.752
Ag 0.333 0.667 0.500
Au 0.667 0.333 0.000
Se 0.333 0.667 0.343
Se 0.333 0.667 0.657
Se 0.667 0.333 0.154
Se 0.667 0.333 0.846